Record 1
Li3Cu2F8: simulated XRD peak list (Cu Kα), based on a crystal structure in Alexandria, relaxed with GGA-PBE.
Intensities are scaled so that the largest is 100.

Cell and atoms:
Cell lengths 5.574, 5.815, 6.064 Å; angles 64.11, 64.68, 86.46 degrees
Atoms (fractional coordinates):
1 Li 0.000 0.000 0.000
2 Li 0.052 0.529 0.463
3 Li 0.379 0.418 0.715
4 Cu 0.681 0.963 0.604
5 Cu 0.694 0.460 0.103
6 F 0.391 0.062 0.838
7 F 0.421 0.552 0.355
8 F 0.510 0.592 0.841
9 F 0.538 0.097 0.327
10 F 0.860 0.831 0.866
11 F 0.869 0.334 0.383
12 F 0.950 0.855 0.362
13 F 0.983 0.367 0.847

Most intense lines, 10° ≤ 2θ ≤ 90°, most intense first:
| 2theta | d/Å | I (rel.) |
| --- | --- | --- |
| 17.82 | 4.978 | 100 |
| 21.57 | 4.120 | 92 |
| 18.47 | 4.803 | 65 |
| 38.44 | 2.342 | 37 |
| 29.42 | 3.036 | 36 |
| 41.78 | 2.162 | 30 |
| 34.71 | 2.585 | 23 |
| 46.60 | 1.949 | 23 |
| 32.87 | 2.724 | 21 |
| 50.87 | 1.795 | 18 |


Record 2
Pr7IrS5: simulated XRD peak list (Cu Kα), based on a crystal structure in Alexandria, relaxed with GGA-PBE.
Intensities are scaled so that the largest is 100.

Cell and atoms:
Cell lengths 7.078, 7.078, 24.678 Å; angles 90.00, 90.00, 146.90 degrees
Atoms (fractional coordinates):
1 Pr 0.042 0.958 0.750
2 Pr 0.138 0.862 0.036
3 Pr 0.138 0.862 0.464
4 Pr 0.303 0.697 0.679
5 Pr 0.303 0.697 0.821
6 Pr 0.413 0.587 0.107
7 Pr 0.413 0.587 0.393
8 Pr 0.587 0.413 0.607
9 Pr 0.587 0.413 0.893
10 Pr 0.697 0.303 0.179
11 Pr 0.697 0.303 0.321
12 Pr 0.862 0.138 0.536
13 Pr 0.862 0.138 0.964
14 Pr 0.958 0.042 0.250
15 Ir 0.306 0.694 0.250
16 Ir 0.694 0.306 0.750
17 S 0.050 0.950 0.143
18 S 0.050 0.950 0.357
19 S 0.225 0.775 0.572
20 S 0.225 0.775 0.928
21 S 0.500 0.500 0.000
22 S 0.500 0.500 0.500
23 S 0.775 0.225 0.072
24 S 0.775 0.225 0.428
25 S 0.950 0.050 0.643
26 S 0.950 0.050 0.857

Most intense lines, 10° ≤ 2θ ≤ 90°, most intense first:
| 2theta | d/Å | I (rel.) |
| --- | --- | --- |
| 28.53 | 3.129 | 100 |
| 30.57 | 2.924 | 93 |
| 31.65 | 2.827 | 62 |
| 27.24 | 3.274 | 45 |
| 29.35 | 3.043 | 35 |
| 54.12 | 1.695 | 32 |
| 44.96 | 2.016 | 30 |
| 40.33 | 2.236 | 27 |
| 44.04 | 2.056 | 24 |
| 44.22 | 2.048 | 21 |